Nd2DyTl2Cd4: simulated X-ray diffraction stick pattern (copper Kα), based on DFT lattice parameters and positions (GGA-PBE).
Lines closer than 0.1° are merged.

Unit cell a=4.644 b=13.175 c=7.719 alpha=90.00 beta=90.00 gamma=90.00
Space group Amm2 (No. 38)
One atom of each set of equivalent atoms:
Nd 0.000 0.211 0.000 [4 per cell]
Dy 0.000 0.000 0.636 [2 per cell]
Tl 0.500 0.164 0.712 [4 per cell]
Cd 0.000 0.000 0.221 [2 per cell]
Cd 0.500 0.000 0.977 [2 per cell]
Cd 0.500 0.120 0.333 [4 per cell]

The 12 most intense peaks (2θ = 15–90°), in order of rising 2θ:
30.1 deg, I 40, (1 0 2); 30.3 deg, I 88, (1 3 1); 33.1 deg, I 100, (1 2 2); 33.3 deg, I 55, (1 4 0); 35.6 deg, I 24, (0 1 3); 35.8 deg, I 21, (0 4 2); 36.0 deg, I 18, (0 5 1); 38.8 deg, I 52, (2 0 0); 40.7 deg, I 41, (0 3 3); 41.1 deg, I 25, (0 6 0); 53.6 deg, I 23, (2 1 3); 53.8 deg, I 20, (2 4 2)